Calculated XRD peak list
Compound: RbCu6Te4
Radiation: λ = 1.5418 Å (Cu Kα)
Structure: a structure optimized by DFT (PBE)
Lines closer than 0.1° are merged.

Cell and atoms:
a = 4.265 Å, b = 4.265 Å, c = 28.021 Å
α = 90.00°, β = 90.00°, γ = 90.00°
Space group I4/mmm (No. 139)
Symmetry-distinct sites (fractional):
1 Rb 0.000 0.000 0.000 (multiplicity 2)
2 Cu 0.000 0.500 0.132 (multiplicity 8)
3 Cu 0.000 0.500 0.250 (multiplicity 4)
4 Te 0.000 0.000 0.193 (multiplicity 4)
5 Te 0.000 0.000 0.420 (multiplicity 4)

The 10 most intense peaks (2θ = 10–90°), in order of rising 2θ:
index, 2theta, d/Å, I/Imax
1 0 3, 22.92, 3.879, 11
1 0 5, 26.26, 3.394, 100
1 1 8, 39.43, 2.285, 61
2 0 0, 42.39, 2.132, 49
1 1 10, 44.12, 2.053, 36
1 0 13, 47.25, 1.924, 12
2 1 5, 50.55, 1.806, 33
2 2 0, 61.50, 1.508, 16
2 0 18, 75.58, 1.258, 25
3 1 10, 78.75, 1.215, 12